For Rb2Nb2O5, a crystal structure in the Materials Project, relaxed with PBE gives the calculated powder XRD pattern in this record (Cu Kα (λ = 1.5418 Å)).

Atomic structure:
```
data_Rb2Nb2O5
_chemical_formula_sum 'Rb8 Nb8 O20'
_space_group_name_H-M_alt 'I m a 2'
_space_group_IT_number 46
_space_group_name_Hall 'I 2 -2a'
_cell_length_a 16.179
_cell_length_b 6.005
_cell_length_c 6.033
_cell_angle_alpha 90.00
_cell_angle_beta 90.00
_cell_angle_gamma 90.00
loop_
_atom_site_label
_atom_site_fract_x
_atom_site_fract_y
_atom_site_fract_z
Rb1 0.121 0.007 0.000
Nb1 0.000 0.000 0.480
Nb2 0.250 0.543 0.009
O1 0.003 0.741 0.766
O2 0.129 0.012 0.506
O3 0.250 0.748 0.757
```

Principal peaks in the range 10 to 80 degrees two-theta, sorted by position:
h k l  Position (°2θ)  intensity
0 0 2  29.6  30
0 2 0  29.8  28
4 1 1  30.5  100
0 2 2  42.5  34
4 1 3  53.1  20
8 0 2  54.7  20